Computed powder diffraction line list of AlTl for a wavelength of 1.5418 Å, from a PBE-relaxed structure.

Top 10 peaks for 2θ from 10° to 80°, by angle:
18.7 deg, I 46
22.6 deg, I 40
23.9 deg, I 76
25.3 deg, I 43
32.4 deg, I 96
33.2 deg, I 100
35.1 deg, I 27
37.4 deg, I 57
43.6 deg, I 26
44.9 deg, I 27

Crystal structure
Cell: 5.942 9.287 14.895 Å, 90.00 90.00 90.00°
Space group Fddd (No. 70, origin choice 2)
Unique sites:
Al  0.125  0.125  0.036 x16
Tl  0.125  0.291  0.625 x16